Cs2AlVF6: computed X-ray powder pattern (λ = 1.5418 Å (Cu Kα)), based on DFT lattice parameters and positions (PBE+U).

```
Cs2AlVF6
1.0
-2.863 2.863 5.806
2.863 -2.863 5.806
2.863 2.863 -5.806
Cs Al V F
2 1 1 6
direct
0.250 0.750 0.500
0.750 0.250 0.500
0.000 0.000 0.000
0.500 0.500 0.000
0.227 0.227 0.455
0.227 0.773 0.000
0.321 0.321 0.000
0.679 0.679 0.000
0.773 0.227 0.000
0.773 0.773 0.545
```

Principal peaks in the range 10° ≤ 2θ ≤ 90°, sorted by position:
two_theta	d (Å)	I (rel.)
26.85	3.321	100
30.80	2.903	30
31.25	2.863	31
34.95	2.568	40
44.77	2.024	24
52.40	1.746	21
52.98	1.728	29
55.33	1.660	20